Computed powder diffractogram of Y7Cd2Sn2 for Cu Kα (λ = 1.5418 Å), from the GGA-PBE geometry in Alexandria.
No peak broadening, texture or thermal motion is included.

Principal peaks in the range 2θ from 10° to 80°, in order of falling intensity:
(hkl)  2theta  intensity
2 2 2  36.22  1000
2 0 1  25.37  687
0 4 0  31.77  618
1 3 2  35.16  586
1 1 2  26.83  378
0 2 1  19.48  279
2 4 1  41.09  279
0 2 3  38.33  259
3 3 1  43.66  207
4 0 0  46.08  179

Cell and atoms:
Cell: 7.877 11.265 7.751 Å, 90.00 90.00 90.00°
Space group Cmmm (No. 65)
Asymmetric unit:
Y 0.000 0.000 0.000 [2 per cell]
Y 0.000 0.500 0.250 [4 per cell]
Y 0.250 0.250 0.290 [8 per cell]
Cd 0.000 0.284 0.000 [4 per cell]
Sn 0.183 0.000 0.500 [4 per cell]